This entry pairs a crystal structure of KCd3Pt with its calculated powder XRD pattern. Radiation: λ = 1.5418 Å (Cu Kα). Structure: a cell relaxed with GGA-PBE.
Lines closer than 0.1° are merged.

Crystal structure
Cell lengths 8.840, 5.706, 11.186 Å; angles 90.00, 117.60, 90.00 degrees
Space group P2_1/c (No. 14)
Asymmetric unit:
K: 0.155 0.228 0.059
Cd: 0.015 0.523 0.247
Cd: 0.351 0.732 0.207
Cd: 0.384 0.226 0.906
Pt: 0.278 0.712 0.927

Top 12 peaks for 15 to 90 degrees two-theta, in order of rising 2θ:
(1 0 -2), 5.494 Å, intensity 1000
(1 1 0), 4.612 Å, intensity 636
(0 2 0), 2.853 Å, intensity 365
(2 0 -4), 2.747 Å, intensity 536
(1 2 0), 2.681 Å, intensity 424
(3 0 0), 2.612 Å, intensity 654
(2 0 2), 2.551 Å, intensity 279
(2 1 -4), 2.474 Å, intensity 711
(2 2 0), 2.306 Å, intensity 356
(1 2 2), 2.216 Å, intensity 248
(1 0 4), 2.100 Å, intensity 283
(1 2 -4), 1.983 Å, intensity 289


This entry pairs a crystal structure of Sm4DyEr2 with its calculated powder XRD pattern. Radiation: λ = 1.5418 Å (Cu Kα). Structure: a cell relaxed with GGA-PBE.
Lines closer than 0.1° are merged.

Crystal structure
Cell lengths 11.885, 24.072, 6.420 Å; angles 90.00, 90.00, 90.00 degrees
Space group Fdd2 (No. 43)
Asymmetric unit:
Sm: 0.053 0.070 0.000
Sm: 0.069 0.143 0.531
Dy: 0.000 0.000 0.493
Er: 0.026 0.216 0.057

Top 12 peaks for 15 to 90 degrees two-theta, in order of rising 2θ:
(0 2 2), 3.105 Å, intensity 158
(1 7 1), 2.937 Å, intensity 1000
(4 2 0), 2.885 Å, intensity 321
(2 0 2), 2.824 Å, intensity 622
(3 5 1), 2.762 Å, intensity 344
(2 2 2), 2.749 Å, intensity 253
(3 7 1), 2.407 Å, intensity 259
(1 7 3), 1.796 Å, intensity 196
(2 14 0), 1.652 Å, intensity 200
(5 3 3), 1.561 Å, intensity 107
(0 14 2), 1.516 Å, intensity 140
(2 14 4), 1.151 Å, intensity 98


This entry pairs a crystal structure of LiCePuHg with its calculated powder XRD pattern. Radiation: λ = 1.5418 Å (Cu Kα). Structure: a cell relaxed with GGA-PBE.
Lines closer than 0.1° are merged.

Crystal structure
Cell lengths 7.213, 7.213, 7.213 Å; angles 90.00, 90.00, 90.00 degrees
Space group F-43m (No. 216)
Asymmetric unit:
Li: 0.000 0.000 0.000
Ce: 0.000 0.000 0.500
Pu: 0.250 0.250 0.750
Hg: 0.250 0.250 0.250

Top 12 peaks for 15 to 90 degrees two-theta, in order of rising 2θ:
(1 1 1), 4.164 Å, intensity 135
(2 0 0), 3.606 Å, intensity 302
(2 2 0), 2.550 Å, intensity 1000
(3 1 1), 2.175 Å, intensity 72
(2 2 2), 2.082 Å, intensity 95
(4 0 0), 1.803 Å, intensity 181
(3 3 1), 1.655 Å, intensity 31
(4 2 0), 1.613 Å, intensity 131
(4 2 2), 1.472 Å, intensity 376
(4 4 0), 1.275 Å, intensity 118
(6 0 0), 1.202 Å, intensity 66
(6 2 0), 1.140 Å, intensity 171


This entry pairs a crystal structure of PaAl2Au9 with its calculated powder XRD pattern. Radiation: λ = 1.5418 Å (Cu Kα). Structure: a cell relaxed with GGA-PBE.
Lines closer than 0.1° are merged.

Crystal structure
Cell lengths 11.520, 11.520, 6.891 Å; angles 90.00, 90.00, 90.00 degrees
Space group I4_1/amd (No. 141, origin choice 2)
Asymmetric unit:
Pa: 0.000 0.250 0.375
Al: 0.000 0.000 0.000
Au: 0.000 0.250 0.875
Au: 0.123 0.072 0.659

Top 12 peaks for 15 to 90 degrees two-theta, in order of rising 2θ:
(3 0 1), 3.354 Å, intensity 100
(4 2 0), 2.576 Å, intensity 340
(3 1 2), 2.503 Å, intensity 1000
(1 0 3), 2.253 Å, intensity 87
(5 0 1), 2.185 Å, intensity 364
(4 4 0), 2.036 Å, intensity 77
(6 0 0), 1.920 Å, intensity 104
(5 4 1), 1.741 Å, intensity 88
(5 5 2), 1.473 Å, intensity 127
(7 3 2), 1.385 Å, intensity 98
(8 3 1), 1.323 Å, intensity 86
(3 0 5), 1.298 Å, intensity 100


This entry pairs a crystal structure of Li4AuI5 with its calculated powder XRD pattern. Radiation: λ = 1.5418 Å (Cu Kα). Structure: a cell relaxed with GGA-PBE.
Lines closer than 0.1° are merged.

Crystal structure
Cell lengths 4.5996, 4.5996, 55.3440 Å; angles 90.00, 90.00, 120.00 degrees
Space group R3m (No. 160, hexagonal axes)
Asymmetric unit:
Li: 0.0000 0.0000 0.0000
Li: 0.0000 0.0000 0.2001
Li: 0.0000 0.0000 0.3997
Li: 0.0000 0.0000 0.6001
Au: 0.0000 0.0000 0.8000
I: 0.0000 0.0000 0.0506
I: 0.0000 0.0000 0.2507
I: 0.0000 0.0000 0.4504
I: 0.0000 0.0000 0.6506
I: 0.0000 0.0000 0.8517

Top 12 peaks for 15 to 90 degrees two-theta, in order of rising 2θ:
(1 0 1), 3.973 Å, intensity 95
(0 1 5), 3.748 Å, intensity 1000
(0 0 15), 3.690 Å, intensity 340
(1 0 10), 3.233 Å, intensity 265
(1 1 0), 2.300 Å, intensity 439
(0 1 20), 2.273 Å, intensity 422
(2 0 5), 1.960 Å, intensity 164
(1 1 15), 1.952 Å, intensity 343
(1 0 25), 1.935 Å, intensity 160
(2 0 20), 1.617 Å, intensity 145
(1 2 5), 1.492 Å, intensity 134
(1 2 20), 1.323 Å, intensity 149


This entry pairs a crystal structure of TiOF with its calculated powder XRD pattern. Radiation: λ = 1.5418 Å (Cu Kα). Structure: a cell relaxed with GGA-PBE.
Lines closer than 0.1° are merged.

Crystal structure
Cell lengths 5.166, 4.769, 5.708 Å; angles 90.00, 91.92, 90.00 degrees
Space group P2_1/c (No. 14)
Asymmetric unit:
Ti: 0.215 0.016 0.141
O: 0.090 0.234 0.870
F: 0.416 0.730 0.376

Top 12 peaks for 15 to 90 degrees two-theta, in order of rising 2θ:
(0 1 1), 3.659 Å, intensity 1000
(1 1 -1), 3.016 Å, intensity 876
(1 1 1), 2.955 Å, intensity 409
(2 1 0), 2.270 Å, intensity 262
(1 1 -2), 2.237 Å, intensity 170
(1 1 2), 2.188 Å, intensity 196
(2 1 1), 2.088 Å, intensity 309
(0 1 3), 1.766 Å, intensity 199
(2 2 0), 1.752 Å, intensity 318
(1 2 -2), 1.736 Å, intensity 340
(1 2 2), 1.713 Å, intensity 345
(3 1 -1), 1.570 Å, intensity 163